# Ac5La3Pm2
Computed powder diffraction line list, Cu Kα X-rays. Input: a crystal structure in Alexandria, relaxed with GGA-PBE.
Neutral-atom scattering factors, no anomalous dispersion.

Top 12 peaks for 15 to 90 degrees two-theta, sorted by position:
2θ (°), intensity
24.00, 11
27.24, 79
30.00, 100
31.46, 19
32.75, 12
44.04, 15
47.16, 14
51.61, 14
53.28, 13
56.91, 16
57.89, 18
68.27, 9

Structure:
```
Ac5La3Pm2
1.0
5.9550 -9.2356 0.0000
5.9550 9.2356 0.0000
-5.9417 0.0000 7.4145
Ac La Pm
10 6 4
Cartesian
1.4987 8.7289 5.5609
-1.5065 2.1437 5.6024
1.4987 5.0857 5.5609
4.4696 4.1459 1.8536
1.4644 -2.1437 1.8951
4.5039 2.1437 5.5194
1.4987 -4.1459 5.5609
4.4696 -5.0857 1.8536
7.4748 -2.1437 1.8122
4.4696 -8.7289 1.8536
1.4890 2.2728 0.4530
-1.4819 -2.2728 4.1603
4.4696 0.6452 1.8536
1.4987 -0.6452 5.5609
7.4502 2.2728 3.2543
4.4794 -2.2728 6.9616
1.4949 2.1351 3.5597
-1.4760 -2.1351 7.2670
7.4443 2.1351 0.1475
4.4734 -2.1351 3.8548
```